# Tm
Computed powder X-ray diffraction pattern, Cu Ka. Input: the PBE geometry in the Materials Project.

Principal peaks in the range 10° ≤ 2θ ≤ 90°, by angle:
28.9°, 3.085 Å, I = 24.0
32.5°, 2.757 Å, I = 23.7
33.3°, 2.692 Å, I = 100.0
44.1°, 2.056 Å, I = 15.4
51.3°, 1.781 Å, I = 19.9
58.5°, 1.579 Å, I = 20.2
62.0°, 1.496 Å, I = 22.5
62.5°, 1.486 Å, I = 16.5
81.5°, 1.182 Å, I = 7.9
85.0°, 1.141 Å, I = 14.3

Cell and atoms:
Lattice parameters (Å, degrees): 3.563 3.563 5.513 90.00 90.00 120.00
Element x y z (fractional)
Tm: 0.333 0.667 0.250
Tm: 0.667 0.333 0.750


# Tm
Computed powder X-ray diffraction pattern, Cu Ka. Input: the PBE geometry in the Materials Project.

Principal peaks in the range 10° ≤ 2θ ≤ 90°, by angle:
32.1°, 2.787 Å, I = 100.0
46.1°, 1.970 Å, I = 18.6
57.3°, 1.609 Å, I = 39.1
67.2°, 1.393 Å, I = 12.1
76.4°, 1.246 Å, I = 16.8
85.3°, 1.138 Å, I = 4.3

Cell and atoms:
Lattice parameters (Å, degrees): 3.413 3.413 3.413 109.47 109.47 109.47
Element x y z (fractional)
Tm: 0.000 0.000 0.000